Record 1
This entry pairs a crystal structure of PmNd2Sm2Tm with its theoretical powder diffractogram. Radiation: Cu Kα. Structure: a structure optimized by DFT (PBE).
Neutral-atom scattering factors, no anomalous dispersion.

Crystal structure
Unit cell a=7.086 b=5.722 c=9.910 alpha=90.00 beta=90.00 gamma=90.00
Positions (direct):
1 Pm 0.250 0.000 0.157
2 Pm 0.750 0.000 0.843
3 Nd 0.000 0.000 0.500
4 Nd 0.250 0.500 0.677
5 Nd 0.500 0.000 0.500
6 Nd 0.750 0.500 0.323
7 Sm 0.250 0.000 0.830
8 Sm 0.250 0.500 0.337
9 Sm 0.750 0.000 0.170
10 Sm 0.750 0.500 0.663
11 Tm 0.000 0.500 0.000
12 Tm 0.500 0.500 0.000

The 6 most intense peaks (15 to 90 degrees two-theta), by angle:
| d (Å) | intensity | hkl |
| --- | --- | --- |
| 2.882 | 93 | 2 1 1 |
| 2.861 | 100 | 0 2 0 |
| 2.030 | 34 | 2 2 2 |
| 1.656 | 36 | 2 3 1 |
| 1.652 | 19 | 0 3 3 |
| 1.506 | 29 | 4 2 0 |

Record 2
This entry pairs a crystal structure of Li4Tl5Cd with its theoretical powder diffractogram. Radiation: Cu Kα. Structure: a structure optimized by DFT (PBE).
Neutral-atom scattering factors, no anomalous dispersion.

Crystal structure
Unit cell a=3.609 b=3.609 c=17.245 alpha=90.00 beta=90.00 gamma=90.00
Positions (direct):
1 Li 0.000 0.000 0.096
2 Li 0.000 0.000 0.289
3 Li 0.000 0.000 0.711
4 Li 0.000 0.000 0.904
5 Tl 0.500 0.500 0.000
6 Tl 0.500 0.500 0.192
7 Tl 0.500 0.500 0.388
8 Tl 0.500 0.500 0.612
9 Tl 0.500 0.500 0.808
10 Cd 0.000 0.000 0.500

The 6 most intense peaks (15 to 90 degrees two-theta), by angle:
| d (Å) | intensity | hkl |
| --- | --- | --- |
| 3.609 | 81 | 1 0 0 |
| 3.449 | 33 | 0 0 5 |
| 2.552 | 57 | 1 1 0 |
| 2.493 | 100 | 1 0 5 |
| 2.051 | 33 | 1 1 5 |
| 1.462 | 39 | 2 1 5 |

> Number 2 is which compound?

Li4Tl5Cd